Structure and calculated XRD peak list of CaTbPuO6 (a crystal structure in Alexandria, relaxed with PBE; Cu Kα, 1.54184 Å).
Neutral-atom scattering factors, no anomalous dispersion.

```
data_CaTbPuO6
_cell_length_a 5.704
_cell_length_b 5.704
_cell_length_c 9.452
_cell_angle_alpha 90.00
_cell_angle_beta 90.00
_cell_angle_gamma 120.00
_space_group_name_H-M_alt 'P 1'
_space_group_IT_number 1
loop_
_space_group_symop_operation_xyz
'x,y,z'
loop_
_atom_site_label
_atom_site_fract_x
_atom_site_fract_y
_atom_site_fract_z
_atom_site_occupancy
Ca1 0.333 0.667 0.250 1
Ca2 0.667 0.333 0.750 1
Tb1 0.000 0.000 0.000 1
Tb2 0.000 0.000 0.500 1
Pu1 0.333 0.667 0.750 1
Pu2 0.667 0.333 0.250 1
O1 0.043 0.365 0.633 1
O2 0.043 0.678 0.867 1
O3 0.322 0.365 0.867 1
O4 0.322 0.957 0.633 1
O5 0.365 0.043 0.133 1
O6 0.365 0.322 0.367 1
O7 0.635 0.678 0.633 1
O8 0.635 0.957 0.867 1
O9 0.678 0.043 0.367 1
O10 0.678 0.635 0.133 1
O11 0.957 0.322 0.133 1
O12 0.957 0.635 0.367 1
```

Principal peaks in the range 5 to 70 degrees two-theta, in order of falling intensity:
| 2theta | I_rel | h k l |
| --- | --- | --- |
| 26.09 | 100 | 1 0 2 |
| 20.28 | 63 | 1 0 1 |
| 31.37 | 53 | 1 1 0 |
| 50.13 | 44 | 1 1 4 |
| 41.24 | 30 | 2 0 2 |
| 52.71 | 29 | 2 1 2 |
| 55.84 | 18 | 3 0 0 |
| 33.74 | 15 | 1 0 3 |
| 61.81 | 13 | 1 0 6 |
| 49.78 | 11 | 2 1 1 |
| 69.59 | 10 | 3 0 4 |
| 37.64 | 10 | 2 0 1 |